Structure and theoretical powder XRD pattern of LuAgSn (a crystal structure in the Materials Project, relaxed with PBE; Cu Kα X-rays).

Main lines, in order of falling intensity (2θ = 5–70°):
2θ (°)  I/Imax  index
32.97  100  1 0 2
38.28  77  1 1 0
51.39  29  2 0 2
65.86  27  2 1 2
43.34  17  1 0 3
69.20  17  3 0 0
64.68  13  1 1 4
25.04  11  1 0 1

Crystal structure
Cell: 4.7023 4.7023 7.2951 Å, 90.00 90.00 120.00°
Sites, in units of the cell vectors:
Lu (0.0000, 0.0000, 0.0000)
Lu (0.0000, 0.0000, 0.5000)
Ag (0.3333, 0.6667, 0.1813)
Ag (0.6667, 0.3333, 0.6813)
Sn (0.3333, 0.6667, 0.7784)
Sn (0.6667, 0.3333, 0.2784)

Structure and theoretical powder XRD pattern of Cu3PSe4 (a crystal structure in the Materials Project, relaxed with PBE; Cu Kα X-rays).

Main lines, in order of falling intensity (2θ = 5–70°):
2θ (°)  I/Imax  index
26.52  100  2 1 0
50.50  84  2 1 3
46.82  80  4 0 0
30.00  76  0 2 1
27.75  57  0 0 2
55.30  45  4 0 2
38.76  34  2 1 2
54.61  12  0 4 0

Crystal structure
Cell: 7.7534 6.7293 6.4307 Å, 90.00 90.00 90.00°
Sites, in units of the cell vectors:
Cu (0.0000, 0.1535, 0.0000)
Cu (0.2461, 0.3235, 0.5122)
Cu (0.2539, 0.6765, 0.0122)
Cu (0.5000, 0.8465, 0.5000)
Cu (0.7461, 0.6765, 0.0122)
Cu (0.7539, 0.3235, 0.5122)
P (0.0000, 0.8280, 0.5028)
P (0.5000, 0.1720, 0.0028)
Se (0.0000, 0.1467, 0.3776)
Se (0.0000, 0.8206, 0.8612)
Se (0.2433, 0.6634, 0.3853)
Se (0.2567, 0.3366, 0.8853)
Se (0.5000, 0.1794, 0.3612)
Se (0.5000, 0.8533, 0.8776)
Se (0.7433, 0.3366, 0.8853)
Se (0.7567, 0.6634, 0.3853)

Please write out number 2 again, unchanged.
Structure and theoretical powder XRD pattern of Cu3PSe4 (a crystal structure in the Materials Project, relaxed with PBE; Cu Kα X-rays).

Main lines, in order of falling intensity (2θ = 5–70°):
2θ (°)  I/Imax  index
26.52  100  2 1 0
50.50  84  2 1 3
46.82  80  4 0 0
30.00  76  0 2 1
27.75  57  0 0 2
55.30  45  4 0 2
38.76  34  2 1 2
54.61  12  0 4 0

Crystal structure
Cell: 7.7534 6.7293 6.4307 Å, 90.00 90.00 90.00°
Sites, in units of the cell vectors:
Cu (0.0000, 0.1535, 0.0000)
Cu (0.2461, 0.3235, 0.5122)
Cu (0.2539, 0.6765, 0.0122)
Cu (0.5000, 0.8465, 0.5000)
Cu (0.7461, 0.6765, 0.0122)
Cu (0.7539, 0.3235, 0.5122)
P (0.0000, 0.8280, 0.5028)
P (0.5000, 0.1720, 0.0028)
Se (0.0000, 0.1467, 0.3776)
Se (0.0000, 0.8206, 0.8612)
Se (0.2433, 0.6634, 0.3853)
Se (0.2567, 0.3366, 0.8853)
Se (0.5000, 0.1794, 0.3612)
Se (0.5000, 0.8533, 0.8776)
Se (0.7433, 0.3366, 0.8853)
Se (0.7567, 0.6634, 0.3853)